# Ba5Cr3O12F
Simulated X-ray powder pattern, a wavelength of 1.5418 Å. Input: a structure optimized by DFT (PBE+U).
Lines closer than 0.1° are merged.

Atomic structure:
Lattice parameters (Å, degrees): 10.582 10.582 7.978 90.00 90.00 120.00
Atoms (fractional coordinates):
Ba1 0.011 0.253 0.250
Ba2 0.242 0.989 0.250
Ba3 0.253 0.242 0.750
Ba4 0.333 0.667 0.501
Ba5 0.333 0.667 0.999
Ba6 0.667 0.333 0.001
Ba7 0.667 0.333 0.499
Ba8 0.747 0.758 0.250
Ba9 0.758 0.011 0.750
Ba10 0.989 0.747 0.750
Cr1 0.030 0.400 0.750
Cr2 0.370 0.970 0.750
Cr3 0.400 0.370 0.250
Cr4 0.600 0.630 0.750
Cr5 0.630 0.030 0.250
Cr6 0.970 0.600 0.250
O1 0.086 0.345 0.575
O2 0.086 0.345 0.925
O3 0.127 0.589 0.750
O4 0.158 0.680 0.250
O5 0.260 0.914 0.575
O6 0.260 0.914 0.925
O7 0.320 0.479 0.250
O8 0.345 0.260 0.075
O9 0.345 0.260 0.425
O10 0.411 0.538 0.750
O11 0.462 0.873 0.750
O12 0.479 0.158 0.750
O13 0.521 0.842 0.250
O14 0.538 0.127 0.250
O15 0.589 0.462 0.250
O16 0.655 0.740 0.575
O17 0.655 0.740 0.925
O18 0.680 0.521 0.750
O19 0.740 0.086 0.075
O20 0.740 0.086 0.425
O21 0.842 0.320 0.750
O22 0.873 0.411 0.250
O23 0.914 0.655 0.075
O24 0.914 0.655 0.425
F1 0.000 0.000 0.250
F2 0.000 0.000 0.750

The 10 most intense peaks (10° ≤ 2θ ≤ 80°), low angle first:
| 2θ (°) | I (rel.) | (hkl) |
| --- | --- | --- |
| 19.37 | 11 | 2 0 0 |
| 24.34 | 18 | 1 0 2 |
| 25.72 | 18 | 2 1 0 |
| 28.05 | 100 | 1 1 2 |
| 29.23 | 29 | 3 0 0 |
| 40.93 | 19 | 2 2 2 |
| 42.87 | 20 | 2 1 3 |
| 44.57 | 12 | 3 2 1 |
| 45.35 | 11 | 1 4 0 |
| 45.66 | 15 | 4 0 2 |